This entry pairs a crystal structure of K4Pu3InSe8 with its computed powder diffraction line list. Radiation: copper Kα. Structure: the PBE geometry in Alexandria.
No peak broadening, texture or thermal motion is included.

Atomic structure:
abc: 8.4683 8.4683 7.8526
angles: 90.00 90.00 120.00
Space group P-3m1 (No. 164)
Symmetry-distinct sites (fractional):
K  0.0000  0.0000  0.0000 (multiplicity 1)
K  0.0000  0.5000  0.0000 (multiplicity 3)
Pu  0.0000  0.5000  0.5000 (multiplicity 3)
In  0.0000  0.0000  0.5000 (multiplicity 1)
Se  0.1655  0.3310  0.2987 (multiplicity 6)
Se  0.3333  0.6667  0.7030 (multiplicity 2)

Peak list (10 most intense, 10° ≤ 2θ ≤ 80°, by angle)
hkl 0 0 1, 2θ 11.27, I 89; hkl 2 0 0, 2θ 24.27, I 30; hkl 2 0 1, 2θ 26.83, I 63; hkl 2 0 2, 2θ 33.44, I 100; hkl 0 2 3, 2θ 42.43, I 30; hkl 2 2 0, 2θ 42.71, I 40; hkl 2 2 1, 2θ 44.31, I 20; hkl 0 2 4, 2θ 52.90, I 17; hkl 0 4 2, 2θ 55.30, I 24; hkl 4 2 2, 2θ 72.30, I 21

This entry pairs a crystal structure of KRb4In with its computed powder diffraction line list. Radiation: copper Kα. Structure: the PBE geometry in Alexandria.
No peak broadening, texture or thermal motion is included.

Atomic structure:
abc: 7.022 14.149 16.778
angles: 90.00 102.01 90.00
Space group C2/m (No. 12)
Symmetry-distinct sites (fractional):
K  0.071  0.000  0.141 (multiplicity 4)
Rb  0.000  0.339  0.000 (multiplicity 4)
Rb  0.149  0.336  0.296 (multiplicity 8)
Rb  0.214  0.000  0.428 (multiplicity 4)
In  0.000  0.250  0.500 (multiplicity 4)

Peak list (10 most intense, 10° ≤ 2θ ≤ 80°, by angle)
hkl 1 3 -1, 2θ 22.87, I 97; hkl 1 1 -4, 2θ 23.67, I 100; hkl 0 2 4, 2θ 25.10, I 41; hkl 2 2 -2, 2θ 28.90, I 29; hkl 0 4 3, 2θ 30.06, I 52; hkl 2 0 2, 2θ 30.25, I 31; hkl 2 2 -3, 2θ 30.44, I 29; hkl 2 2 2, 2θ 32.82, I 28; hkl 2 6 -1, 2θ 46.39, I 31; hkl 2 0 -8, 2θ 46.58, I 28

This entry pairs a crystal structure of K4Rb2InSb2 with its computed powder diffraction line list. Radiation: copper Kα. Structure: the PBE geometry in Alexandria.
No peak broadening, texture or thermal motion is included.

Atomic structure:
abc: 5.848 9.413 15.418
angles: 90.00 90.00 90.00
Space group Immm (No. 71)
Symmetry-distinct sites (fractional):
K  0.000  0.205  0.138 (multiplicity 8)
Rb  0.000  0.000  0.360 (multiplicity 4)
In  0.000  0.500  0.500 (multiplicity 2)
Sb  0.000  0.500  0.300 (multiplicity 4)

Peak list (10 most intense, 10° ≤ 2θ ≤ 80°, by angle)
hkl 0 1 1, 2θ 11.01, I 26; hkl 1 0 1, 2θ 16.21, I 33; hkl 0 2 0, 2θ 18.85, I 47; hkl 1 2 1, 2θ 24.96, I 100; hkl 1 1 4, 2θ 29.33, I 66; hkl 1 2 3, 2θ 29.94, I 55; hkl 2 0 0, 2θ 30.55, I 76; hkl 1 0 5, 2θ 32.83, I 24; hkl 2 2 0, 2θ 36.17, I 19; hkl 2 1 5, 2θ 43.73, I 22

This entry pairs a crystal structure of K2InRu with its computed powder diffraction line list. Radiation: copper Kα. Structure: the PBE geometry in Alexandria.
No peak broadening, texture or thermal motion is included.

Atomic structure:
abc: 3.355 4.238 20.059
angles: 90.00 90.00 90.00
Space group Immm (No. 71)
Symmetry-distinct sites (fractional):
K  0.000  0.000  0.145 (multiplicity 4)
In  0.000  0.500  0.000 (multiplicity 2)
Ru  0.000  0.500  0.500 (multiplicity 2)

Peak list (10 most intense, 10° ≤ 2θ ≤ 80°, by angle)
hkl 0 0 4, 2θ 17.69, I 46; hkl 0 0 6, 2θ 26.66, I 62; hkl 1 1 2, 2θ 35.27, I 89; hkl 0 0 8, 2θ 35.81, I 25; hkl 1 1 4, 2θ 38.65, I 100; hkl 0 2 0, 2θ 42.67, I 20; hkl 1 1 6, 2θ 43.79, I 23; hkl 1 1 8, 2θ 50.27, I 18; hkl 0 2 6, 2θ 51.03, I 20; hkl 1 1 10, 2θ 57.81, I 30

This entry pairs a crystal structure of KIn5S8 with its computed powder diffraction line list. Radiation: copper Kα. Structure: the PBE geometry in Alexandria.
No peak broadening, texture or thermal motion is included.

Atomic structure:
abc: 19.332 3.907 9.411
angles: 90.00 102.96 90.00
Space group Cm (No. 8)
Symmetry-distinct sites (fractional):
K  0.000  0.000  0.000 (multiplicity 2)
In  0.120  0.000  0.413 (multiplicity 2)
In  0.194  0.000  0.851 (multiplicity 2)
In  0.262  0.500  0.177 (multiplicity 2)
In  0.337  0.500  0.618 (multiplicity 2)
In  0.477  0.000  0.513 (multiplicity 2)
S  0.044  0.500  0.292 (multiplicity 2)
S  0.065  0.000  0.633 (multiplicity 2)
S  0.142  0.500  0.983 (multiplicity 2)
S  0.218  0.500  0.670 (multiplicity 2)
S  0.237  0.000  0.358 (multiplicity 2)
S  0.312  0.000  0.044 (multiplicity 2)
S  0.390  0.500  0.397 (multiplicity 2)
S  0.413  0.000  0.738 (multiplicity 2)

Peak list (10 most intense, 10° ≤ 2θ ≤ 80°, by angle)
hkl 2 0 1, 2θ 14.92, I 55; hkl 4 0 -1, 2θ 19.16, I 50; hkl 2 0 2, 2θ 23.40, I 90; hkl 3 1 0, 2θ 26.87, I 80; hkl 3 1 -1, 2θ 27.49, I 76; hkl 1 1 -2, 2θ 29.72, I 100; hkl 4 0 -3, 2θ 31.11, I 89; hkl 5 1 1, 2θ 36.01, I 93; hkl 0 2 0, 2θ 46.48, I 48; hkl 9 1 -1, 2θ 48.35, I 50

This entry pairs a crystal structure of KIn2S3 with its computed powder diffraction line list. Radiation: copper Kα. Structure: the PBE geometry in Alexandria.
No peak broadening, texture or thermal motion is included.

Atomic structure:
abc: 3.793 11.709 7.103
angles: 90.00 90.00 90.00
Space group Pmc2_1 (No. 26)
Symmetry-distinct sites (fractional):
K  0.000  0.100  0.000 (multiplicity 2)
In  0.000  0.243  0.493 (multiplicity 2)
In  0.500  0.451  0.989 (multiplicity 2)
S  0.000  0.430  0.687 (multiplicity 2)
S  0.500  0.120  0.635 (multiplicity 2)
S  0.500  0.279  0.235 (multiplicity 2)

Peak list (10 most intense, 10° ≤ 2θ ≤ 80°, by angle)
hkl 0 1 1, 2θ 14.59, I 41; hkl 0 0 2, 2θ 25.07, I 46; hkl 0 3 1, 2θ 26.05, I 100; hkl 1 1 1, 2θ 27.73, I 47; hkl 1 2 0, 2θ 28.03, I 33; hkl 1 2 1, 2θ 30.78, I 48; hkl 1 1 2, 2θ 35.47, I 51; hkl 1 2 2, 2θ 37.96, I 82; hkl 0 3 3, 2θ 44.77, I 37; hkl 1 5 1, 2θ 47.38, I 47

This entry pairs a crystal structure of K3Sc3InS8 with its computed powder diffraction line list. Radiation: copper Kα. Structure: the PBE geometry in Alexandria.
No peak broadening, texture or thermal motion is included.

Atomic structure:
abc: 13.114 7.552 8.689
angles: 90.00 120.28 90.00
Space group C2/m (No. 12)
Symmetry-distinct sites (fractional):
K  0.000  0.000  0.000 (multiplicity 2)
K  0.250  0.250  0.000 (multiplicity 4)
Sc  0.000  0.500  0.500 (multiplicity 2)
Sc  0.250  0.250  0.500 (multiplicity 4)
In  0.000  0.000  0.500 (multiplicity 2)
S  0.021  0.256  0.306 (multiplicity 8)
S  0.231  0.500  0.692 (multiplicity 4)
S  0.236  0.000  0.694 (multiplicity 4)

Peak list (10 most intense, 10° ≤ 2θ ≤ 80°, by angle)
hkl 0 0 1, 2θ 11.79, I 50; hkl 1 1 0, 2θ 14.08, I 20; hkl 3 1 0, 2θ 26.40, I 11; hkl 4 0 0, 2θ 31.61, I 100; hkl 4 0 1, 2θ 39.27, I 15; hkl 2 2 2, 2θ 42.35, I 31; hkl 0 4 0, 2θ 48.13, I 30; hkl 2 2 3, 2θ 52.75, I 8; hkl 4 4 0, 2θ 58.78, I 10; hkl 10 2 -2, 2θ 79.20, I 8

This entry pairs a crystal structure of KIn2TeS6 with its computed powder diffraction line list. Radiation: copper Kα. Structure: the PBE geometry in Alexandria.
No peak broadening, texture or thermal motion is included.

Atomic structure:
abc: 11.536 12.434 8.296
angles: 90.00 109.83 90.00
Space group C2/c (No. 15)
Symmetry-distinct sites (fractional):
K  0.000  0.109  0.250 (multiplicity 4)
In  0.130  0.417  0.152 (multiplicity 8)
Te  0.000  0.216  0.750 (multiplicity 4)
S  0.116  0.420  0.460 (multiplicity 8)
S  0.126  0.096  0.657 (multiplicity 8)
S  0.161  0.225  0.068 (multiplicity 8)

Peak list (10 most intense, 10° ≤ 2θ ≤ 80°, by angle)
hkl 1 1 0, 2θ 10.82, I 34; hkl 1 1 -1, 2θ 13.54, I 33; hkl 0 2 1, 2θ 18.24, I 100; hkl 1 3 -1, 2θ 24.41, I 85; hkl 3 1 0, 2θ 25.65, I 31; hkl 1 3 1, 2θ 26.92, I 31; hkl 2 2 -2, 2θ 27.26, I 27; hkl 2 0 2, 2θ 32.49, I 46; hkl 2 4 -1, 2θ 33.25, I 34; hkl 2 2 -3, 2θ 35.87, I 29